1.
For Pa3N4, a DFT-relaxed cell (GGA-PBE, Alexandria) gives the theoretical powder X-ray diffraction pattern in this record (Cu Kα, 1.54184 Å).
Lines closer than 0.1° are merged.

Cell and atoms:
abc: 7.2733 7.2733 7.2733
angles: 90.00 90.00 90.00
Space group I-43d (No. 220)
Unique sites:
Pa 0.0000 0.2500 0.3750 (multiplicity 12)
N 0.0712 0.0712 0.0712 (multiplicity 16)

Principal peaks in the range 2θ = 5–70°, by intensity:
2θ/deg, I/Imax, h k l
30.10, 100, 2 1 1
39.17, 44, 3 1 0
56.59, 26, 4 2 0
46.73, 26, 3 2 1
65.43, 24, 4 3 1
59.62, 17, 3 3 2
34.89, 10, 2 2 0
62.56, 5, 4 2 2
50.17, 2, 4 0 0

***

2.
For Pa3N4, a DFT-relaxed cell (GGA-PBE, Alexandria) gives the theoretical powder X-ray diffraction pattern in this record (Cu Kα, 1.54184 Å).
Lines closer than 0.1° are merged.

Cell and atoms:
abc: 11.8793 3.5284 6.0424
angles: 90.00 118.20 90.00
Space group C2/m (No. 12)
Unique sites:
Pa 0.0000 0.0000 0.0000 (multiplicity 2)
Pa 0.1949 0.5000 0.6974 (multiplicity 4)
N 0.1373 0.0000 0.4248 (multiplicity 4)
N 0.1488 0.5000 0.0253 (multiplicity 4)

Principal peaks in the range 2θ = 5–70°, by intensity:
2θ/deg, I/Imax, h k l
29.32, 100, 1 1 -1
36.20, 52, 3 1 0
29.59, 49, 2 0 -2
29.03, 42, 2 0 1
30.10, 42, 4 0 -1
46.71, 26, 1 1 2
48.14, 26, 5 1 -2
52.34, 25, 3 1 -3
60.81, 15, 2 2 -2
51.82, 13, 0 2 0